No. 1
Theoretical powder diffraction line list of Sm6Tl3Bi for Cu Ka, from DFT lattice parameters and positions (GGA-PBE).
No peak broadening, texture or thermal motion is included.

The 6 most intense peaks (5 to 70 degrees two-theta), by angle:
| 2θ (°) | Rel. int. |
| --- | --- |
| 29.61 | 79 |
| 29.72 | 77 |
| 31.04 | 87 |
| 32.67 | 100 |
| 33.04 | 92 |
| 37.44 | 37 |

Structure:
```
data_Sm6Tl3Bi
_cell_length_a 10.233
_cell_length_b 10.233
_cell_length_c 6.979
_cell_angle_alpha 90.00
_cell_angle_beta 90.00
_cell_angle_gamma 120.39
_space_group_name_H-M_alt 'P 1'
_space_group_IT_number 1
loop_
_space_group_symop_operation_xyz
'x,y,z'
loop_
_atom_site_label
_atom_site_type_symbol
_atom_site_fract_x
_atom_site_fract_y
_atom_site_fract_z
_atom_site_occupancy
Sm1 Sm 0.012 0.988 0.500 1
Sm2 Sm 0.083 0.542 0.021 1
Sm3 Sm 0.248 0.364 0.285 1
Sm4 Sm 0.298 0.702 0.504 1
Sm5 Sm 0.364 0.248 0.785 1
Sm6 Sm 0.458 0.917 0.021 1
Sm7 Sm 0.542 0.083 0.521 1
Sm8 Sm 0.636 0.752 0.285 1
Sm9 Sm 0.702 0.298 0.004 1
Sm10 Sm 0.752 0.636 0.785 1
Sm11 Sm 0.917 0.458 0.521 1
Sm12 Sm 0.988 0.012 0.000 1
Tl1 Tl 0.090 0.311 0.729 1
Tl2 Tl 0.311 0.090 0.229 1
Tl3 Tl 0.417 0.583 0.900 1
Tl4 Tl 0.583 0.417 0.400 1
Tl5 Tl 0.689 0.910 0.729 1
Tl6 Tl 0.910 0.689 0.229 1
Bi1 Bi 0.153 0.847 0.783 1
Bi2 Bi 0.847 0.153 0.283 1
```

No. 2
Theoretical powder diffraction line list of Sm3TlBi2 for Cu Ka, from DFT lattice parameters and positions (GGA-PBE).
No peak broadening, texture or thermal motion is included.

The 6 most intense peaks (5 to 70 degrees two-theta), by angle:
| 2θ (°) | Rel. int. |
| --- | --- |
| 27.80 | 100 |
| 38.83 | 14 |
| 39.74 | 52 |
| 48.47 | 15 |
| 49.87 | 14 |
| 65.09 | 12 |

Structure:
```
data_Sm3TlBi2
_cell_length_a 7.976
_cell_length_b 7.976
_cell_length_c 7.976
_cell_angle_alpha 147.56
_cell_angle_beta 132.66
_cell_angle_gamma 58.56
_space_group_name_H-M_alt 'P 1'
_space_group_IT_number 1
loop_
_space_group_symop_operation_xyz
'x,y,z'
loop_
_atom_site_label
_atom_site_type_symbol
_atom_site_fract_x
_atom_site_fract_y
_atom_site_fract_z
_atom_site_occupancy
Sm1 Sm 0.000 0.000 0.000 1
Sm2 Sm 0.328 0.328 0.000 1
Sm3 Sm 0.672 0.672 0.000 1
Tl1 Tl 0.500 0.000 0.500 1
Bi1 Bi 0.166 0.666 0.500 1
Bi2 Bi 0.834 0.334 0.500 1
```